(1)
The following is a theoretical PXRD pattern of Ni12P5. It was derived from a structure optimized by DFT (GGA-PBE), using Cu Kα.
Lines closer than 0.1° are merged.

Main lines, by angle (15° ≤ 2θ ≤ 90°):
38.58 deg, rel. 39
41.42 deg, rel. 16
41.72 deg, rel. 18
41.82 deg, rel. 24
44.48 deg, rel. 20
47.02 deg, rel. 66
49.12 deg, rel. 100
79.82 deg, rel. 15

Structure:
Cell lengths 6.611, 6.611, 6.611 Å; angles 98.39, 98.39, 135.09 degrees
Fractional positions:
Ni 0.060 0.366 0.426
Ni 0.068 0.132 0.702
Ni 0.132 0.430 0.064
Ni 0.366 0.068 0.936
Ni 0.366 0.940 0.306
Ni 0.430 0.366 0.298
Ni 0.570 0.634 0.702
Ni 0.634 0.060 0.694
Ni 0.634 0.932 0.064
Ni 0.868 0.570 0.936
Ni 0.932 0.868 0.298
Ni 0.940 0.634 0.574
P 0.000 0.000 0.000
P 0.195 0.587 0.782
P 0.413 0.195 0.608
P 0.587 0.805 0.392
P 0.805 0.413 0.218

---

(2)
The following is a theoretical PXRD pattern of Ga2CoPt2. It was derived from a structure optimized by DFT (GGA-PBE), using Cu Kα.
Lines closer than 0.1° are merged.

Main lines, by angle (15° ≤ 2θ ≤ 90°):
17.07 deg, rel. 21
27.14 deg, rel. 32
38.76 deg, rel. 49
42.26 deg, rel. 100
49.63 deg, rel. 13
52.87 deg, rel. 14
61.58 deg, rel. 12
77.78 deg, rel. 26

Structure:
Cell lengths 7.347, 7.347, 2.817 Å; angles 90.00, 90.00, 90.00 degrees
Fractional positions:
Ga 0.151 0.349 0.000
Ga 0.349 0.849 0.000
Ga 0.651 0.151 0.000
Ga 0.849 0.651 0.000
Co 0.000 0.000 0.000
Co 0.500 0.500 0.000
Pt 0.149 0.649 0.500
Pt 0.351 0.149 0.500
Pt 0.649 0.851 0.500
Pt 0.851 0.351 0.500

---

(3)
The following is a theoretical PXRD pattern of Tb2Nd3Ni2. It was derived from a structure optimized by DFT (GGA-PBE), using Cu Kα.
Lines closer than 0.1° are merged.

Main lines, by angle (15° ≤ 2θ ≤ 90°):
28.62 deg, rel. 59
29.51 deg, rel. 61
29.91 deg, rel. 85
31.08 deg, rel. 82
31.65 deg, rel. 100
32.63 deg, rel. 96
34.84 deg, rel. 77
35.36 deg, rel. 59

Structure:
Cell lengths 3.740, 6.346, 8.837 Å; angles 70.67, 77.86, 72.94 degrees
Fractional positions:
Tb 0.168 0.470 0.191
Tb 0.832 0.530 0.809
Nd 0.386 0.802 0.429
Nd 0.500 0.000 0.000
Nd 0.614 0.198 0.571
Ni 0.169 0.885 0.777
Ni 0.831 0.115 0.223

---

Question: What is the formula in the first record?
Answer: Ni12P5

---

Question: Number 3 is which compound?
Answer: Tb2Nd3Ni2